(1)
Y2Si6Ir9: simulated X-ray diffraction stick pattern (CuKα), based on a crystal structure in Alexandria, relaxed with GGA-PBE.
Kinematic intensities with the Lorentz-polarization factor, no thermal factor.

a = 5.602 Å, b = 5.602 Å, c = 10.844 Å
α = 90.00°, β = 90.00°, γ = 120.00°
Atoms (fractional coordinates):
1 Y 0.000 0.000 0.193
2 Y 0.000 0.000 0.807
3 Si 0.333 0.667 0.166
4 Si 0.333 0.667 0.500
5 Si 0.333 0.667 0.834
6 Si 0.667 0.333 0.166
7 Si 0.667 0.333 0.500
8 Si 0.667 0.333 0.834
9 Ir 0.000 0.500 0.000
10 Ir 0.000 0.500 0.332
11 Ir 0.000 0.500 0.668
12 Ir 0.500 0.000 0.000
13 Ir 0.500 0.000 0.332
14 Ir 0.500 0.000 0.668
15 Ir 0.500 0.500 0.000
16 Ir 0.500 0.500 0.332
17 Ir 0.500 0.500 0.668

Main lines, in order of rising 2θ (10° ≤ 2θ ≤ 90°):
18.3°, intensity 40.1; 24.6°, intensity 57.6; 30.8°, intensity 41.2; 37.1°, intensity 100.0; 40.8°, intensity 39.2; 45.0°, intensity 95.8; 64.3°, intensity 37.2; 88.3°, intensity 24.6

***

(2)
Pm8N5: simulated X-ray diffraction stick pattern (CuKα), based on a crystal structure in Alexandria, relaxed with GGA-PBE.
Kinematic intensities with the Lorentz-polarization factor, no thermal factor.

a = 7.143 Å, b = 7.143 Å, c = 8.726 Å
α = 127.54°, β = 127.54°, γ = 60.03°
Atoms (fractional coordinates):
1 Pm 0.021 0.021 0.319
2 Pm 0.027 0.550 0.841
3 Pm 0.450 0.973 0.159
4 Pm 0.476 0.476 0.669
5 Pm 0.524 0.524 0.331
6 Pm 0.550 0.027 0.841
7 Pm 0.973 0.450 0.159
8 Pm 0.979 0.979 0.681
9 N 0.000 0.000 0.000
10 N 0.247 0.753 0.500
11 N 0.256 0.256 0.998
12 N 0.744 0.744 0.002
13 N 0.753 0.247 0.500

Main lines, in order of rising 2θ (10° ≤ 2θ ≤ 90°):
28.9°, intensity 82.3; 32.3°, intensity 100.0; 32.4°, intensity 94.7; 41.3°, intensity 28.4; 51.1°, intensity 39.6; 53.3°, intensity 22.1; 59.8°, intensity 18.2; 84.2°, intensity 17.7

***

(3)
RbUPb2O6: simulated X-ray diffraction stick pattern (CuKα), based on a crystal structure in Alexandria, relaxed with GGA-PBE.
Kinematic intensities with the Lorentz-polarization factor, no thermal factor.

a = 7.639 Å, b = 7.639 Å, c = 6.741 Å
α = 94.18°, β = 94.18°, γ = 95.68°
Atoms (fractional coordinates):
1 Rb 0.082 0.918 0.750
2 Rb 0.918 0.082 0.250
3 U 0.278 0.722 0.250
4 U 0.722 0.278 0.750
5 Pb 0.237 0.436 0.690
6 Pb 0.436 0.237 0.190
7 Pb 0.564 0.763 0.810
8 Pb 0.763 0.564 0.310
9 O 0.015 0.734 0.334
10 O 0.198 0.638 0.970
11 O 0.266 0.985 0.166
12 O 0.281 0.450 0.336
13 O 0.362 0.802 0.530
14 O 0.450 0.281 0.836
15 O 0.550 0.719 0.164
16 O 0.638 0.198 0.470
17 O 0.719 0.550 0.664
18 O 0.734 0.015 0.834
19 O 0.802 0.362 0.030
20 O 0.985 0.266 0.666

Main lines, in order of rising 2θ (10° ≤ 2θ ≤ 90°):
11.7°, intensity 28.2; 26.6°, intensity 39.6; 27.4°, intensity 27.8; 28.0°, intensity 100.0; 29.2°, intensity 25.0; 39.8°, intensity 18.3; 47.3°, intensity 22.7; 48.3°, intensity 26.2

***

(4)
LiPuInS4: simulated X-ray diffraction stick pattern (CuKα), based on a crystal structure in Alexandria, relaxed with GGA-PBE.
Kinematic intensities with the Lorentz-polarization factor, no thermal factor.

a = 7.775 Å, b = 7.775 Å, c = 7.775 Å
α = 121.14°, β = 117.88°, γ = 90.87°
Atoms (fractional coordinates):
1 Li 0.383 0.133 0.250
2 Li 0.617 0.867 0.750
3 Pu 0.000 0.500 0.500
4 Pu 0.500 0.500 0.000
5 In 0.000 0.000 0.500
6 In 0.000 0.500 0.000
7 S 0.224 0.748 0.476
8 S 0.227 0.252 0.976
9 S 0.252 0.269 0.517
10 S 0.252 0.735 0.983
11 S 0.748 0.265 0.017
12 S 0.748 0.731 0.483
13 S 0.773 0.748 0.024
14 S 0.776 0.252 0.524

Main lines, in order of rising 2θ (10° ≤ 2θ ≤ 90°):
13.7°, intensity 30.1; 14.2°, intensity 100.0; 26.4°, intensity 44.5; 27.1°, intensity 32.8; 32.4°, intensity 56.8; 32.8°, intensity 27.9; 46.8°, intensity 41.4; 47.6°, intensity 19.7

***

(5)
Tb6HoTm3: simulated X-ray diffraction stick pattern (CuKα), based on a crystal structure in Alexandria, relaxed with GGA-PBE.
Kinematic intensities with the Lorentz-polarization factor, no thermal factor.

a = 11.450 Å, b = 11.450 Å, c = 6.320 Å
α = 90.00°, β = 90.00°, γ = 130.41°
Atoms (fractional coordinates):
1 Tb 0.016 0.984 0.500
2 Tb 0.104 0.543 0.994
3 Tb 0.259 0.379 0.751
4 Tb 0.300 0.700 0.533
5 Tb 0.379 0.259 0.251
6 Tb 0.457 0.896 0.994
7 Tb 0.543 0.104 0.494
8 Tb 0.621 0.741 0.751
9 Tb 0.700 0.300 0.033
10 Tb 0.741 0.621 0.251
11 Tb 0.896 0.457 0.494
12 Tb 0.984 0.016 0.000
13 Ho 0.160 0.840 0.304
14 Ho 0.840 0.160 0.804
15 Tm 0.043 0.294 0.330
16 Tm 0.294 0.043 0.830
17 Tm 0.419 0.581 0.227
18 Tm 0.581 0.419 0.727
19 Tm 0.706 0.957 0.330
20 Tm 0.957 0.706 0.830

Main lines, in order of rising 2θ (10° ≤ 2θ ≤ 90°):
29.0°, intensity 42.2; 29.4°, intensity 25.1; 31.6°, intensity 100.0; 32.5°, intensity 37.4; 33.2°, intensity 26.7; 34.0°, intensity 41.2; 34.9°, intensity 16.3; 57.1°, intensity 26.2

***

(6)
Ta3Ni5: simulated X-ray diffraction stick pattern (CuKα), based on a crystal structure in Alexandria, relaxed with GGA-PBE.
Kinematic intensities with the Lorentz-polarization factor, no thermal factor.

a = 7.127 Å, b = 7.127 Å, c = 6.850 Å
α = 93.91°, β = 93.91°, γ = 140.15°
Atoms (fractional coordinates):
1 Ta 0.000 0.000 0.000
2 Ta 0.415 0.845 0.676
3 Ta 0.555 0.555 0.601
4 Ta 0.591 0.924 0.277
5 Ta 0.845 0.415 0.676
6 Ta 0.924 0.591 0.277
7 Ni 0.005 0.005 0.371
8 Ni 0.137 0.433 0.374
9 Ni 0.159 0.967 0.671
10 Ni 0.258 0.864 0.005
11 Ni 0.393 0.589 0.937
12 Ni 0.433 0.137 0.374
13 Ni 0.484 0.484 0.230
14 Ni 0.589 0.393 0.937
15 Ni 0.864 0.258 0.005
16 Ni 0.967 0.159 0.671

Main lines, in order of rising 2θ (10° ≤ 2θ ≤ 90°):
29.8°, intensity 49.0; 39.6°, intensity 48.1; 40.3°, intensity 100.0; 41.2°, intensity 33.7; 41.9°, intensity 53.1; 42.2°, intensity 42.7; 42.8°, intensity 40.7; 45.1°, intensity 63.2

***

(7)
Tb3CeDy: simulated X-ray diffraction stick pattern (CuKα), based on a crystal structure in Alexandria, relaxed with GGA-PBE.
Kinematic intensities with the Lorentz-polarization factor, no thermal factor.

a = 10.403 Å, b = 10.403 Å, c = 10.403 Å
α = 34.14°, β = 34.14°, γ = 34.14°
Atoms (fractional coordinates):
1 Tb 0.024 0.382 0.739
2 Tb 0.261 0.976 0.618
3 Tb 0.382 0.739 0.024
4 Tb 0.618 0.261 0.976
5 Tb 0.739 0.024 0.382
6 Tb 0.976 0.618 0.261
7 Ce 0.455 0.455 0.455
8 Ce 0.545 0.545 0.545
9 Dy 0.167 0.167 0.167
10 Dy 0.833 0.833 0.833

Main lines, in order of rising 2θ (10° ≤ 2θ ≤ 90°):
27.3°, intensity 20.3; 30.7°, intensity 100.0; 34.6°, intensity 54.0; 47.6°, intensity 10.7; 51.9°, intensity 24.8; 55.8°, intensity 11.8; 59.6°, intensity 12.2; 61.5°, intensity 12.7

***

(8)
K2ErMgF6: simulated X-ray diffraction stick pattern (CuKα), based on a crystal structure in Alexandria, relaxed with GGA-PBE.
Kinematic intensities with the Lorentz-polarization factor, no thermal factor.

a = 6.099 Å, b = 6.099 Å, c = 6.099 Å
α = 123.29°, β = 116.31°, γ = 90.45°
Atoms (fractional coordinates):
1 K 0.233 0.233 0.000
2 K 0.767 0.767 0.000
3 Er 0.500 0.000 0.500
4 Mg 0.000 0.500 0.500
5 F 0.217 0.238 0.455
6 F 0.217 0.762 0.979
7 F 0.244 0.744 0.500
8 F 0.756 0.256 0.500
9 F 0.783 0.238 0.021
10 F 0.783 0.762 0.545

Main lines, in order of rising 2θ (10° ≤ 2θ ≤ 90°):
17.2°, intensity 40.7; 18.5°, intensity 67.0; 20.6°, intensity 74.1; 27.7°, intensity 31.6; 29.4°, intensity 100.0; 33.5°, intensity 26.5; 42.0°, intensity 50.8; 60.9°, intensity 29.0

***

Repeat the first record exactly.
Y2Si6Ir9: simulated X-ray diffraction stick pattern (CuKα), based on a crystal structure in Alexandria, relaxed with GGA-PBE.
Kinematic intensities with the Lorentz-polarization factor, no thermal factor.

a = 5.602 Å, b = 5.602 Å, c = 10.844 Å
α = 90.00°, β = 90.00°, γ = 120.00°
Atoms (fractional coordinates):
1 Y 0.000 0.000 0.193
2 Y 0.000 0.000 0.807
3 Si 0.333 0.667 0.166
4 Si 0.333 0.667 0.500
5 Si 0.333 0.667 0.834
6 Si 0.667 0.333 0.166
7 Si 0.667 0.333 0.500
8 Si 0.667 0.333 0.834
9 Ir 0.000 0.500 0.000
10 Ir 0.000 0.500 0.332
11 Ir 0.000 0.500 0.668
12 Ir 0.500 0.000 0.000
13 Ir 0.500 0.000 0.332
14 Ir 0.500 0.000 0.668
15 Ir 0.500 0.500 0.000
16 Ir 0.500 0.500 0.332
17 Ir 0.500 0.500 0.668

Main lines, in order of rising 2θ (10° ≤ 2θ ≤ 90°):
18.3°, intensity 40.1; 24.6°, intensity 57.6; 30.8°, intensity 41.2; 37.1°, intensity 100.0; 40.8°, intensity 39.2; 45.0°, intensity 95.8; 64.3°, intensity 37.2; 88.3°, intensity 24.6

***

Q: Number 4 is which compound?
A: LiPuInS4